Entry 1:
Ca2PaCuO6: simulated powder diffractogram (a wavelength of 1.5418 Å), based on a crystal structure in Alexandria, relaxed with PBE.

Principal peaks in the range 10° ≤ 2θ ≤ 80°, most intense first:
2θ/deg	I (rel.)	hkl
28.95	100	1 1 1
30.37	71	3 1 -1
23.21	68	1 1 -1
18.45	65	1 1 0
18.22	49	2 0 0
19.56	31	2 0 -1
47.45	30	2 2 -2
32.36	29	0 2 0
38.14	27	1 1 -2
49.89	25	4 2 0

Atomic structure:
```
data_Ca2PaCuO6
_chemical_formula_sum 'Ca4 Pa2 Cu2 O12'
_space_group_name_H-M_alt 'C 1 2 1'
_space_group_IT_number 5
_cell_length_a 10.8025
_cell_length_b 5.5333
_cell_length_c 5.3239
_cell_angle_alpha 90.00
_cell_angle_beta 115.63
_cell_angle_gamma 90.00
loop_
_space_group_symop_operation_xyz
'x,y,z'
'-x,y,-z'
'x+1/2,y+1/2,z'
'-x+1/2,y+1/2,-z'
loop_
_atom_site_label
_atom_site_fract_x
_atom_site_fract_y
_atom_site_fract_z
Ca1 0.2470 0.0000 0.1958
Pa1 0.0000 0.0348 0.5000
Cu1 0.0000 0.5250 0.0000
O1 0.0769 0.7562 0.8465
O2 0.0795 0.2910 0.8657
O3 0.1984 0.0820 0.5617
```


Entry 2:
Sr4CaYCu6Pb4O16: simulated powder diffractogram (a wavelength of 1.5418 Å), based on a crystal structure in Alexandria, relaxed with PBE.

Principal peaks in the range 10° ≤ 2θ ≤ 80°, most intense first:
2θ/deg	I (rel.)	hkl
32.37	100	1 1 8
33.15	69	2 0 0
58.73	37	3 1 8
47.58	32	2 2 0
43.82	19	2 0 10
23.93	17	1 1 2
33.61	16	0 0 12
28.72	15	1 1 6
57.24	14	2 0 16
41.23	13	1 1 12

Atomic structure:
```
data_Sr4CaYCu6Pb4O16
_chemical_formula_sum 'Sr8 Ca2 Y2 Cu12 Pb8 O32'
_space_group_name_H-M_alt 'I 4/m m m'
_space_group_IT_number 139
_space_group_name_Hall '-I 4 2'
_cell_length_a 5.4054
_cell_length_b 5.4054
_cell_length_c 32.0530
_cell_angle_alpha 90.00
_cell_angle_beta 90.00
_cell_angle_gamma 90.00
loop_
_atom_site_label
_atom_site_fract_x
_atom_site_fract_y
_atom_site_fract_z
Sr1 0.0000 0.0000 0.1092
Sr2 0.0000 0.0000 0.3899
Ca1 0.0000 0.0000 0.0000
Y1 0.0000 0.0000 0.5000
Cu1 0.0000 0.0000 0.2498
Cu2 0.0000 0.5000 0.0530
Pb1 0.0000 0.5000 0.1936
O1 0.0000 0.0000 0.1918
O2 0.0000 0.0000 0.3078
O3 0.0000 0.5000 0.1255
O4 0.2455 0.2455 0.4529
```


Entry 3:
Sr4CaYCu6Pb4O16: simulated powder diffractogram (a wavelength of 1.5418 Å), based on a crystal structure in Alexandria, relaxed with PBE.

Principal peaks in the range 10° ≤ 2θ ≤ 80°, most intense first:
2θ/deg	I (rel.)	hkl
33.00	100	2 2 0
32.26	74	2 0 4
32.44	72	0 2 4
58.35	28	4 2 4
43.76	28	2 2 5
58.69	27	2 4 4
57.27	25	2 2 8
47.09	24	4 0 0
47.63	23	0 4 0
22.26	16	0 0 4

Atomic structure:
```
data_Sr4CaYCu6Pb4O16
_chemical_formula_sum 'Sr8 Ca2 Y2 Cu12 Pb8 O32'
_space_group_name_H-M_alt 'C 1 2/m 1'
_space_group_IT_number 12
_cell_length_a 7.7194
_cell_length_b 7.6374
_cell_length_c 15.9727
_cell_angle_alpha 90.00
_cell_angle_beta 90.00
_cell_angle_gamma 90.00
loop_
_space_group_symop_operation_xyz
'x,y,z'
'-x,-y,-z'
'-x,y,-z'
'x,-y,z'
'x+1/2,y+1/2,z'
'-x+1/2,-y+1/2,-z'
'-x+1/2,y+1/2,-z'
'x+1/2,-y+1/2,z'
loop_
_atom_site_label
_atom_site_fract_x
_atom_site_fract_y
_atom_site_fract_z
Sr1 0.0003 0.0000 0.2180
Sr2 0.0014 0.5000 0.2199
Ca1 0.0000 0.0000 0.0000
Y1 0.0000 0.5000 0.0000
Cu1 0.0000 0.0000 0.5000
Cu2 0.0000 0.5000 0.5000
Cu3 0.2493 0.2497 0.8938
Pb1 0.2505 0.2408 0.3876
O1 0.0007 0.2542 0.0951
O2 0.0432 0.5000 0.6149
O3 0.0442 0.0000 0.3850
O4 0.2443 0.5000 0.9049
O5 0.2457 0.5000 0.0926
O6 0.2489 0.2443 0.7491
```